(1)
This entry pairs a crystal structure of Sr2MgIrO6 with its simulated powder diffractogram. Radiation: Cu Kα (weighted mean of Kα1 and Kα2). Structure: a structure optimized by DFT (GGA-PBE).
No peak broadening, texture or thermal motion is included.

Principal peaks in the range 10 to 90 degrees two-theta, sorted by position:
19.28 deg, rel. 49, hkl 1 1 1
31.74 deg, rel. 100, hkl 2 2 0
37.41 deg, rel. 26, hkl 3 1 1
45.51 deg, rel. 34, hkl 4 0 0
49.85 deg, rel. 11, hkl 3 3 1
56.55 deg, rel. 40, hkl 4 2 2
60.32 deg, rel. 10, hkl 5 1 1
66.32 deg, rel. 20, hkl 4 4 0
69.78 deg, rel. 9, hkl 5 3 1
75.40 deg, rel. 18, hkl 6 2 0

Cell and atoms:
```
data_Sr2MgIrO6
_space_group_name_H-M_alt 'F m -3 m'
_space_group_IT_number 225
_space_group_name_Hall '-F 4 2 3'
_cell_length_a 7.973
_cell_length_b 7.973
_cell_length_c 7.973
_cell_angle_alpha 90.00
_cell_angle_beta 90.00
_cell_angle_gamma 90.00
loop_
_atom_site_label
_atom_site_type_symbol
_atom_site_fract_x
_atom_site_fract_y
_atom_site_fract_z
Sr1 Sr 0.250 0.250 0.250
Mg1 Mg 0.000 0.000 0.000
Ir1 Ir 0.000 0.000 0.500
O1 O 0.000 0.000 0.256
```


(2)
This entry pairs a crystal structure of CeCo9Si4 with its simulated powder diffractogram. Radiation: Cu Kα (weighted mean of Kα1 and Kα2). Structure: a structure optimized by DFT (GGA-PBE).
No peak broadening, texture or thermal motion is included.

Principal peaks in the range 10 to 90 degrees two-theta, sorted by position:
31.22 deg, rel. 16, hkl 0 0 4
35.37 deg, rel. 20, hkl 1 1 4
36.41 deg, rel. 21, hkl 2 2 2
36.76 deg, rel. 16, hkl 3 1 0
39.14 deg, rel. 24, hkl 2 0 4
40.10 deg, rel. 100, hkl 3 1 2
47.61 deg, rel. 41, hkl 0 0 6
48.69 deg, rel. 33, hkl 3 2 3
49.23 deg, rel. 20, hkl 4 1 1
52.96 deg, rel. 13, hkl 4 2 0

Cell and atoms:
```
data_CeCo9Si4
_space_group_name_H-M_alt 'I 4/m c m'
_space_group_IT_number 140
_space_group_name_Hall '-I 4 2c'
_cell_length_a 7.732
_cell_length_b 7.732
_cell_length_c 11.459
_cell_angle_alpha 90.00
_cell_angle_beta 90.00
_cell_angle_gamma 90.00
loop_
_atom_site_label
_atom_site_type_symbol
_atom_site_fract_x
_atom_site_fract_y
_atom_site_fract_z
Ce1 Ce 0.000 0.000 0.250
Co1 Co 0.000 0.500 0.000
Co2 Co 0.069 0.200 0.000
Co3 Co 0.130 0.370 0.181
Si1 Si 0.170 0.330 0.379
```


(3)
This entry pairs a crystal structure of LiMg6Co with its simulated powder diffractogram. Radiation: Cu Kα (weighted mean of Kα1 and Kα2). Structure: a structure optimized by DFT (GGA-PBE).
No peak broadening, texture or thermal motion is included.

Principal peaks in the range 10 to 90 degrees two-theta, sorted by position:
16.47 deg, rel. 43, hkl 0 1 1
24.79 deg, rel. 24, hkl 1 1 1
33.30 deg, rel. 23, hkl 0 2 2
37.28 deg, rel. 35, hkl 2 0 0
38.31 deg, rel. 100, hkl 1 2 2
39.41 deg, rel. 42, hkl 1 0 4
50.85 deg, rel. 15, hkl 2 2 2
61.10 deg, rel. 15, hkl 0 2 6
67.91 deg, rel. 17, hkl 3 2 2
73.81 deg, rel. 16, hkl 2 2 6

Cell and atoms:
```
data_LiMg6Co
_space_group_name_H-M_alt 'A m m 2'
_space_group_IT_number 38
_cell_length_a 4.823
_cell_length_b 6.292
_cell_length_c 10.386
_cell_angle_alpha 90.00
_cell_angle_beta 90.00
_cell_angle_gamma 90.00
loop_
_space_group_symop_operation_xyz
'x,y,z'
'-x,-y,z'
'-x,y,z'
'x,-y,z'
'x,y+1/2,z+1/2'
'-x,-y+1/2,z+1/2'
'-x,y+1/2,z+1/2'
'x,-y+1/2,z+1/2'
loop_
_atom_site_label
_atom_site_type_symbol
_atom_site_fract_x
_atom_site_fract_y
_atom_site_fract_z
Li1 Li 0.000 0.000 0.000
Mg1 Mg 0.000 0.249 0.249
Mg2 Mg 0.500 0.000 0.338
Mg3 Mg 0.500 0.000 0.832
Mg4 Mg 0.500 0.238 0.573
Co1 Co 0.000 0.000 0.500
```